Starting from DFT lattice parameters and positions (GGA+U), the X-ray powder pattern of V3H4NO8 was calculated for CuKα.
Intensities are scaled so that the largest is 1000.

Atomic structure:
Lattice parameters (Å, degrees): 5.0607 8.5764 7.9721 90.00 97.40 90.00
Fractional coordinates of all 32 atoms:
V 0.0599 0.0540 0.3176
V 0.0599 0.4460 0.3176
V 0.4268 0.7500 0.5779
V 0.5732 0.2500 0.4221
V 0.9401 0.5540 0.6824
V 0.9401 0.9460 0.6824
H 0.3001 0.7500 0.1514
H 0.3345 0.7500 0.9460
H 0.4386 0.1540 0.9110
H 0.4386 0.3460 0.9110
H 0.5614 0.6540 0.0890
H 0.5614 0.8460 0.0890
H 0.6655 0.2500 0.0540
H 0.6999 0.2500 0.8486
N 0.4386 0.7500 0.0679
N 0.5614 0.2500 0.9321
O 0.0679 0.0665 0.8300
O 0.0679 0.4335 0.8300
O 0.0909 0.7500 0.7564
O 0.1816 0.5875 0.5057
O 0.1816 0.9125 0.5057
O 0.3805 0.2500 0.5712
O 0.3847 0.1000 0.2704
O 0.3847 0.4000 0.2704
O 0.6153 0.6000 0.7296
O 0.6153 0.9000 0.7296
O 0.6195 0.7500 0.4288
O 0.8184 0.0875 0.4943
O 0.8184 0.4125 0.4943
O 0.9091 0.2500 0.2436
O 0.9321 0.5665 0.1700
O 0.9321 0.9335 0.1700

Largest 6 diffraction maxima, low angle first, 2θ = 5–70°:
11.19 deg, intensity 1000, (0 0 1)
15.24 deg, intensity 380, (0 1 1)
24.80 deg, intensity 201, (0 1 2)
27.36 deg, intensity 497, (1 2 0)
30.53 deg, intensity 250, (1 2 1)
44.29 deg, intensity 193, (1 3 2)

Starting from DFT lattice parameters and positions (GGA+U), the X-ray powder pattern of Zn3Co3As4O16 was calculated for CuKα.
Intensities are scaled so that the largest is 1000.

Atomic structure:
Lattice parameters (Å, degrees): 8.5958 5.2123 15.9421 90.00 110.89 90.00
Fractional coordinates of all 52 atoms:
Zn 0.0000 0.0000 0.0000
Zn 0.0000 0.5000 0.5000
Zn 0.2992 0.0513 0.2824
Zn 0.2992 0.4487 0.7824
Zn 0.7008 0.5513 0.2176
Zn 0.7008 0.9487 0.7176
Co 0.2080 0.5086 0.3744
Co 0.2080 0.9914 0.8744
Co 0.5000 0.0000 0.5000
Co 0.5000 0.5000 0.0000
Co 0.7920 0.0086 0.1256
Co 0.7920 0.4914 0.6256
As 0.0365 0.0097 0.6466
As 0.0365 0.4903 0.1466
As 0.4157 0.5087 0.6040
As 0.4157 0.9913 0.1040
As 0.5843 0.0087 0.8960
As 0.5843 0.4913 0.3960
As 0.9635 0.5097 0.8534
As 0.9635 0.9903 0.3534
O 0.0141 0.6809 0.6303
O 0.0141 0.8191 0.1303
O 0.0928 0.1763 0.5712
O 0.0928 0.3237 0.0712
O 0.1541 0.6132 0.8472
O 0.1541 0.8868 0.3472
O 0.1889 0.0901 0.7500
O 0.1889 0.4099 0.2500
O 0.2469 0.5722 0.5085
O 0.2469 0.9278 0.0085
O 0.3934 0.5987 0.7008
O 0.3934 0.9013 0.2008
O 0.4272 0.2207 0.9053
O 0.4272 0.2793 0.4053
O 0.4906 0.7149 0.8950
O 0.4906 0.7851 0.3950
O 0.5094 0.2149 0.6050
O 0.5094 0.2851 0.1050
O 0.5728 0.7207 0.5947
O 0.5728 0.7793 0.0947
O 0.6066 0.0987 0.7992
O 0.6066 0.4013 0.2992
O 0.7531 0.0722 0.9915
O 0.7531 0.4278 0.4915
O 0.8111 0.5901 0.7500
O 0.8111 0.9099 0.2500
O 0.8459 0.1132 0.6528
O 0.8459 0.3868 0.1528
O 0.9072 0.6763 0.9288
O 0.9072 0.8237 0.4288
O 0.9859 0.1809 0.8697
O 0.9859 0.3191 0.3697

Largest 6 diffraction maxima, low angle first, 2θ = 5–70°:
26.96 deg, intensity 992, (2 1 -1)
28.78 deg, intensity 303, (2 0 2)
29.75 deg, intensity 1000, (1 1 3)
32.93 deg, intensity 664, (1 1 -5)
34.41 deg, intensity 714, (0 2 0)
36.30 deg, intensity 820, (3 1 -3)